Starting from a structure optimized by DFT (PBE+U), the powder XRD pattern of HoCo4Ag3O12 was calculated for CuKα.

Largest 6 diffraction maxima, low angle first, 10° ≤ 2θ ≤ 90°:
2θ = 24.2°, I 12; 2θ = 34.4°, I 100; 2θ = 49.5°, I 25; 2θ = 61.7°, I 43; 2θ = 72.6°, I 13; 2θ = 82.9°, I 16

Crystal structure
```
20
Lattice="-3.684 3.684 3.684 3.684 -3.684 3.684 3.684 3.684 -3.684" Properties=species:S:1:pos:R:3 pbc="T T T"
Ho 0.000 0.000 0.000
Co 1.842 1.842 -1.842
Co 1.842 -1.842 1.842
Co -1.842 1.842 1.842
Co 1.842 1.842 1.842
Ag 3.684 0.000 0.000
Ag 0.000 3.684 0.000
Ag 0.000 0.000 3.684
O 3.684 2.350 -1.545
O 2.139 0.000 1.333
O 5.229 0.000 1.333
O 1.333 2.139 0.000
O 2.350 -1.545 3.684
O 0.000 1.333 2.139
O 3.684 2.350 1.545
O 1.333 5.229 0.000
O 2.350 1.545 3.684
O -1.545 3.684 2.350
O 1.545 3.684 2.350
O 0.000 1.333 5.229
```